Entry 1:
Diffraction record for Ca2Mg2Si4Ni. The powder XRD pattern is theoretical, not measured: it uses a crystal structure in Alexandria, relaxed with PBE and λ = 1.5418 Å (Cu Kα).
Intensities are scaled so that the largest is 100.

Top 10 peaks for 2θ = 15–90°, sorted by position:
2θ (°)	intensity
28.8	67
29.6	25
34.7	43
35.8	100
40.0	56
42.4	90
45.2	40
59.7	57
61.6	25
75.9	24

Structural model:
Cell lengths 6.2068, 6.2068, 6.2068 Å; angles 121.91, 121.91, 86.72 degrees
Sites, in units of the cell vectors:
Ca: 0.2500 0.7500 0.5000
Ca: 0.7500 0.2500 0.5000
Mg: 0.2245 0.2245 0.0000
Mg: 0.7755 0.7755 0.0000
Si: 0.2199 0.2199 0.4397
Si: 0.2199 0.7801 0.0000
Si: 0.7801 0.2199 0.0000
Si: 0.7801 0.7801 0.5603
Ni: 0.5000 0.5000 0.0000

***

Entry 2:
Diffraction record for CaMgO2. The powder XRD pattern is theoretical, not measured: it uses a crystal structure in Alexandria, relaxed with PBE and λ = 1.5418 Å (Cu Kα).
Intensities are scaled so that the largest is 100.

Top 10 peaks for 2θ = 15–90°, sorted by position:
2θ (°)	intensity
27.8	100
28.3	47
33.4	50
33.8	25
36.8	81
46.7	37
48.9	34
49.8	61
62.7	26
63.5	47

Structural model:
Cell lengths 6.3022, 7.4547, 4.8898 Å; angles 90.00, 90.00, 90.00 degrees
Sites, in units of the cell vectors:
Ca: 0.0921 0.1237 0.0000
Ca: 0.4079 0.6237 0.5000
Ca: 0.5921 0.3763 0.0000
Ca: 0.9079 0.8763 0.5000
Mg: 0.0715 0.6256 0.0259
Mg: 0.4285 0.1256 0.5259
Mg: 0.5715 0.8744 0.0259
Mg: 0.9285 0.3744 0.5259
O: 0.0596 0.6090 0.4425
O: 0.1033 0.1436 0.4817
O: 0.3967 0.6436 0.9817
O: 0.4404 0.1090 0.9425
O: 0.5596 0.8910 0.4425
O: 0.6033 0.3564 0.4817
O: 0.8967 0.8564 0.9817
O: 0.9404 0.3910 0.9425

***

Entry 3:
Diffraction record for CaMg3O4. The powder XRD pattern is theoretical, not measured: it uses a crystal structure in Alexandria, relaxed with PBE and λ = 1.5418 Å (Cu Kα).
Intensities are scaled so that the largest is 100.

Top 10 peaks for 2θ = 15–90°, sorted by position:
2θ (°)	intensity
20.0	6
28.4	5
34.9	17
40.6	100
45.6	2
50.2	1
58.7	57
70.2	10
73.8	17
87.8	8

Structural model:
Cell lengths 4.4488, 4.4488, 4.4488 Å; angles 90.00, 90.00, 90.00 degrees
Sites, in units of the cell vectors:
Ca: 0.0000 0.0000 0.0000
Mg: 0.0000 0.5000 0.5000
Mg: 0.5000 0.0000 0.5000
Mg: 0.5000 0.5000 0.0000
O: 0.0000 0.0000 0.5000
O: 0.0000 0.5000 0.0000
O: 0.5000 0.0000 0.0000
O: 0.5000 0.5000 0.5000